Record 1
Starting from a PBE-relaxed structure, the X-ray powder pattern of RbBa2Pa2O7 was calculated for a wavelength of 1.5418 Å.
Kinematic intensities with the Lorentz-polarization factor, no thermal factor.

Largest 8 diffraction maxima, sorted by position, 5° ≤ 2θ ≤ 70°:
hkl, 2θ/deg, I (rel.)
0 1 1, 19.3, 32
1 0 1, 19.6, 33
0 0 6, 25.1, 28
0 1 5, 28.3, 100
1 0 5, 28.5, 29
1 1 4, 31.9, 45
0 2 0, 38.2, 28
1 1 10, 51.0, 39

Atomic structure:
Cell: 4.6307 4.7160 21.2881 Å, 90.00 90.00 90.00°
Space group Immm (No. 71)
Inequivalent atoms, fractional coordinates:
Rb 0.0000 0.0000 0.0000 [2 per cell]
Ba 0.0000 0.5000 0.2539 [4 per cell]
Pa 0.0000 0.0000 0.3982 [4 per cell]
O 0.0000 0.0000 0.2972 [4 per cell]
O 0.0000 0.0000 0.5000 [2 per cell]
O 0.0000 0.5000 0.1089 [4 per cell]
O 0.0000 0.5000 0.3896 [4 per cell]

=====

Record 2
Starting from a PBE-relaxed structure, the X-ray powder pattern of Li2GaNi5B2 was calculated for a wavelength of 1.5418 Å.
Kinematic intensities with the Lorentz-polarization factor, no thermal factor.

Largest 8 diffraction maxima, sorted by position, 5° ≤ 2θ ≤ 70°:
hkl, 2θ/deg, I (rel.)
2 0 0, 20.5, 43
2 1 0, 23.0, 58
0 0 1, 31.7, 44
4 1 0, 43.1, 43
2 2 1, 43.6, 37
3 1 1, 46.2, 100
4 2 0, 46.9, 58
3 2 1, 49.9, 38

Atomic structure:
Cell: 8.6598 8.6598 2.8225 Å, 90.00 90.00 90.00°
Space group P4/mbm (No. 127)
Inequivalent atoms, fractional coordinates:
Li 0.1746 0.3254 0.0000 [4 per cell]
Ga 0.0000 0.0000 0.0000 [2 per cell]
Ni 0.0000 0.5000 0.5000 [2 per cell]
Ni 0.0718 0.7792 0.5000 [8 per cell]
B 0.1225 0.6225 0.0000 [4 per cell]

=====

Record 3
Starting from a PBE-relaxed structure, the X-ray powder pattern of Pa2Si4NiRh3 was calculated for a wavelength of 1.5418 Å.
Kinematic intensities with the Lorentz-polarization factor, no thermal factor.

Largest 8 diffraction maxima, sorted by position, 5° ≤ 2θ ≤ 70°:
hkl, 2θ/deg, I (rel.)
1 0 1, 23.6, 39
1 1 0, 30.9, 38
1 0 3, 35.2, 88
1 1 2, 36.1, 100
2 0 0, 44.2, 53
1 0 5, 51.8, 33
2 1 3, 57.8, 43
2 2 0, 64.4, 17

Atomic structure:
Cell: 4.0943 4.0943 9.7759 Å, 90.00 90.00 90.00°
Space group P-4m2 (No. 115)
Inequivalent atoms, fractional coordinates:
Pa 0.0000 0.5000 0.2473 [2 per cell]
Si 0.0000 0.0000 0.5000 [1 per cell]
Si 0.0000 0.5000 0.8714 [2 per cell]
Si 0.5000 0.5000 0.5000 [1 per cell]
Ni 0.5000 0.5000 0.0000 [1 per cell]
Rh 0.0000 0.0000 0.0000 [1 per cell]
Rh 0.0000 0.5000 0.6288 [2 per cell]

=====

Record 4
Starting from a PBE-relaxed structure, the X-ray powder pattern of Rb2W2N5 was calculated for a wavelength of 1.5418 Å.
Kinematic intensities with the Lorentz-polarization factor, no thermal factor.

Largest 8 diffraction maxima, sorted by position, 5° ≤ 2θ ≤ 70°:
hkl, 2θ/deg, I (rel.)
0 0 1, 12.0, 67
2 0 -1, 17.9, 21
2 0 -2, 26.6, 55
1 1 1, 27.6, 100
4 0 0, 30.4, 59
3 1 -1, 33.6, 55
1 1 -3, 43.4, 23
4 0 -4, 54.9, 23

Atomic structure:
Cell: 11.8920 3.8589 7.4563 Å, 90.00 98.16 90.00°
Space group C2/m (No. 12)
Inequivalent atoms, fractional coordinates:
Rb 0.1019 0.0000 0.3561 [4 per cell]
W 0.1444 0.5000 0.9100 [4 per cell]
N 0.0000 0.5000 0.0000 [2 per cell]
N 0.1205 0.5000 0.6698 [4 per cell]
N 0.1804 0.0000 0.9785 [4 per cell]

=====

Record 5
Starting from a PBE-relaxed structure, the X-ray powder pattern of Mg2Tl2Pt was calculated for a wavelength of 1.5418 Å.
Kinematic intensities with the Lorentz-polarization factor, no thermal factor.

Largest 8 diffraction maxima, sorted by position, 5° ≤ 2θ ≤ 70°:
hkl, 2θ/deg, I (rel.)
1 1 1, 25.8, 68
2 1 0, 28.7, 46
2 0 1, 31.7, 73
2 1 1, 34.2, 100
0 0 2, 37.2, 36
3 1 0, 41.0, 47
3 1 2, 56.5, 37
3 3 1, 59.5, 27

Atomic structure:
Cell: 6.9656 6.9656 4.8391 Å, 90.00 90.00 90.00°
Space group P4/mbm (No. 127)
Inequivalent atoms, fractional coordinates:
Mg 0.1576 0.3424 0.0000 [4 per cell]
Tl 0.1666 0.6666 0.5000 [4 per cell]
Pt 0.0000 0.0000 0.0000 [2 per cell]

=====

Record 6
Starting from a PBE-relaxed structure, the X-ray powder pattern of Nd5Ho12In2 was calculated for a wavelength of 1.5418 Å.
Kinematic intensities with the Lorentz-polarization factor, no thermal factor.

Largest 8 diffraction maxima, sorted by position, 5° ≤ 2θ ≤ 70°:
hkl, 2θ/deg, I (rel.)
4 2 0, 30.1, 39
2 2 -2, 30.6, 62
1 3 -1, 31.2, 34
1 3 1, 31.3, 43
5 1 -1, 32.0, 100
4 0 2, 32.2, 62
1 1 -3, 33.8, 75
3 3 1, 35.7, 54

Atomic structure:
Cell: 15.4228 9.3128 8.3928 Å, 90.00 92.23 90.00°
Space group C2/m (No. 12)
Inequivalent atoms, fractional coordinates:
Nd 0.0000 0.0000 0.0000 [2 per cell]
Nd 0.1954 0.5000 0.5120 [4 per cell]
Nd 0.2335 0.0000 0.0765 [4 per cell]
Ho 0.0535 0.5000 0.8262 [4 per cell]
Ho 0.0775 0.0000 0.3802 [4 per cell]
Ho 0.1266 0.3071 0.1698 [8 per cell]
Ho 0.1440 0.1834 0.7356 [8 per cell]
In 0.0000 0.3220 0.5000 [4 per cell]

=====

Record 7
Starting from a PBE-relaxed structure, the X-ray powder pattern of Pm3GaSi was calculated for a wavelength of 1.5418 Å.
Kinematic intensities with the Lorentz-polarization factor, no thermal factor.

Largest 8 diffraction maxima, sorted by position, 5° ≤ 2θ ≤ 70°:
hkl, 2θ/deg, I (rel.)
0 2 1, 26.8, 49
1 0 2, 28.1, 76
0 0 3, 29.9, 19
0 2 2, 32.0, 21
1 2 1, 33.5, 100
2 0 0, 40.0, 29
2 2 1, 48.8, 21
1 2 4, 52.2, 23

Atomic structure:
Cell: 4.5089 7.1694 8.9702 Å, 90.00 90.00 90.00°
Space group Pmmn (No. 59, origin choice 2)
Inequivalent atoms, fractional coordinates:
Pm 0.2500 0.0129 0.1721 [4 per cell]
Pm 0.2500 0.2500 0.5611 [2 per cell]
Ga 0.2500 0.7500 0.6604 [2 per cell]
Si 0.2500 0.2500 0.8892 [2 per cell]